Structure and theoretical PXRD pattern of ReICl4 (a PBE-relaxed structure; λ = 1.5418 Å (Cu Kα)).
Lines closer than 0.1° are merged.

Structure:
```
ReICl4
1.0
13.644 0.000 0.000
0.000 3.094 0.000
-0.238 0.000 10.592
Re I Cl
2 2 8
direct
0.000 0.000 0.000
0.500 0.500 0.000
0.000 0.500 0.500
0.500 0.000 0.500
0.095 0.500 0.878
0.119 0.000 0.155
0.381 0.500 0.845
0.405 0.000 0.122
0.595 0.000 0.878
0.619 0.500 0.155
0.881 0.000 0.845
0.905 0.500 0.122
```

Top 10 peaks for 2θ = 15–90°, in order of rising 2θ:
- 2θ 16.74, 5.296 Å, I = 78
- 2θ 21.01, 4.229 Å, I = 54
- 2θ 21.47, 4.138 Å, I = 51
- 2θ 30.81, 2.902 Å, I = 100
- 2θ 31.52, 2.838 Å, I = 29
- 2θ 36.03, 2.493 Å, I = 51
- 2θ 39.18, 2.299 Å, I = 26
- 2θ 43.42, 2.084 Å, I = 28
- 2θ 43.72, 2.070 Å, I = 25
- 2θ 45.28, 2.003 Å, I = 19

---

Structure and theoretical PXRD pattern of ReICl (a PBE-relaxed structure; λ = 1.5418 Å (Cu Kα)).
Lines closer than 0.1° are merged.

Structure:
```
ReICl
1.0
3.546 0.000 0.000
0.332 7.609 0.000
1.689 0.997 7.836
Re I Cl
2 2 2
direct
0.201 0.498 0.102
0.799 0.502 0.898
0.373 0.732 0.695
0.627 0.268 0.305
0.139 0.774 0.177
0.861 0.226 0.823
```

Top 10 peaks for 2θ = 15–90°, in order of rising 2θ:
- 2θ 15.24, 5.815 Å, I = 100
- 2θ 24.86, 3.582 Å, I = 29
- 2θ 26.93, 3.311 Å, I = 12
- 2θ 30.74, 2.909 Å, I = 22
- 2θ 32.93, 2.720 Å, I = 21
- 2θ 34.19, 2.622 Å, I = 20
- 2θ 38.03, 2.366 Å, I = 25
- 2θ 38.67, 2.329 Å, I = 21
- 2θ 38.99, 2.310 Å, I = 20
- 2θ 48.23, 1.887 Å, I = 18

---

Structure and theoretical PXRD pattern of Tl2ReI4Cl2 (a PBE-relaxed structure; λ = 1.5418 Å (Cu Kα)).
Lines closer than 0.1° are merged.

Structure:
```
Tl2ReI4Cl2
1.0
6.389 -4.030 0.000
6.389 4.030 0.000
-1.386 0.000 6.748
Tl Re I Cl
2 1 4 2
direct
0.153 0.153 0.360
0.847 0.847 0.640
0.500 0.500 0.500
0.149 0.630 0.259
0.370 0.851 0.741
0.630 0.149 0.259
0.851 0.370 0.741
0.367 0.367 0.693
0.633 0.633 0.307
```

Top 10 peaks for 2θ = 15–90°, in order of rising 2θ:
- 2θ 17.51, 5.066 Å, I = 30
- 2θ 24.02, 3.705 Å, I = 46
- 2θ 25.27, 3.524 Å, I = 36
- 2θ 25.75, 3.460 Å, I = 30
- 2θ 28.17, 3.168 Å, I = 100
- 2θ 28.53, 3.129 Å, I = 27
- 2θ 30.79, 2.904 Å, I = 90
- 2θ 34.97, 2.566 Å, I = 40
- 2θ 39.70, 2.270 Å, I = 33
- 2θ 48.58, 1.874 Å, I = 34

---

Structure and theoretical PXRD pattern of Tl5SI2Cl (a PBE-relaxed structure; λ = 1.5418 Å (Cu Kα)).
Lines closer than 0.1° are merged.

Structure:
```
Tl5SI2Cl
1.0
2.324 -10.242 0.000
2.324 10.242 0.000
0.000 0.000 14.563
Tl S I Cl
10 2 4 2
direct
0.005 0.995 0.500
0.137 0.863 0.746
0.199 0.801 0.125
0.224 0.776 0.400
0.420 0.580 0.810
0.580 0.420 0.310
0.776 0.224 0.900
0.801 0.199 0.625
0.863 0.137 0.246
0.995 0.005 0.000
0.282 0.718 0.761
0.718 0.282 0.261
0.372 0.628 0.063
0.388 0.612 0.433
0.612 0.388 0.933
0.628 0.372 0.563
0.047 0.953 0.187
0.953 0.047 0.687
```

Top 10 peaks for 2θ = 15–90°, in order of rising 2θ:
- 2θ 23.96, 3.715 Å, I = 24
- 2θ 25.28, 3.523 Å, I = 17
- 2θ 25.97, 3.430 Å, I = 18
- 2θ 26.23, 3.398 Å, I = 28
- 2θ 26.89, 3.316 Å, I = 100
- 2θ 29.06, 3.073 Å, I = 37
- 2θ 31.56, 2.834 Å, I = 24
- 2θ 31.95, 2.801 Å, I = 16
- 2θ 38.76, 2.323 Å, I = 27
- 2θ 44.24, 2.047 Å, I = 25

---

Structure and theoretical PXRD pattern of SbICl8 (a PBE-relaxed structure; λ = 1.5418 Å (Cu Kα)).
Lines closer than 0.1° are merged.

Structure:
```
SbICl8
1.0
7.658 0.000 0.000
0.000 7.658 0.000
0.000 0.000 24.995
Sb I Cl
4 4 32
direct
0.017 0.219 0.000
0.219 0.983 0.750
0.781 0.017 0.250
0.983 0.781 0.500
0.136 0.775 0.121
0.225 0.136 0.371
0.775 0.864 0.871
0.864 0.225 0.621
0.044 0.804 0.694
0.064 0.919 0.295
0.081 0.064 0.545
0.084 0.475 0.951
0.156 0.238 0.685
0.196 0.044 0.944
0.202 0.638 0.551
0.224 0.376 0.311
0.235 0.260 0.066
0.238 0.844 0.435
0.260 0.765 0.816
0.289 0.612 0.187
0.362 0.202 0.801
0.376 0.776 0.061
0.388 0.289 0.437
0.475 0.916 0.701
0.525 0.084 0.201
0.612 0.711 0.937
0.624 0.224 0.561
0.638 0.798 0.301
0.711 0.388 0.687
0.740 0.235 0.316
0.762 0.156 0.935
0.765 0.740 0.566
0.776 0.624 0.811
0.798 0.362 0.051
0.804 0.956 0.444
0.844 0.762 0.185
0.916 0.525 0.451
0.919 0.936 0.045
0.936 0.081 0.795
0.956 0.196 0.194
```

Top 10 peaks for 2θ = 15–90°, in order of rising 2θ:
- 2θ 15.72, 5.638 Å, I = 100
- 2θ 16.75, 5.292 Å, I = 23
- 2θ 17.85, 4.969 Å, I = 30
- 2θ 19.55, 4.540 Å, I = 63
- 2θ 21.22, 4.186 Å, I = 34
- 2θ 24.28, 3.666 Å, I = 46
- 2θ 27.00, 3.303 Å, I = 24
- 2θ 29.38, 3.040 Å, I = 27
- 2θ 31.69, 2.823 Å, I = 30
- 2θ 33.88, 2.646 Å, I = 34

---

Structure and theoretical PXRD pattern of SbICl2 (a PBE-relaxed structure; λ = 1.5418 Å (Cu Kα)).
Lines closer than 0.1° are merged.

Structure:
```
SbICl2
1.0
7.498 0.000 0.000
0.000 6.673 0.000
-6.456 0.000 13.483
Sb I Cl
4 4 8
direct
0.179 0.030 0.414
0.179 0.470 0.914
0.821 0.530 0.086
0.821 0.970 0.586
0.231 0.233 0.773
0.231 0.267 0.273
0.769 0.733 0.727
0.769 0.767 0.227
0.094 0.722 0.084
0.094 0.778 0.584
0.424 0.211 0.556
0.424 0.289 0.056
0.576 0.711 0.944
0.576 0.789 0.444
0.906 0.222 0.416
0.906 0.278 0.916
```

Top 10 peaks for 2θ = 15–90°, in order of rising 2θ:
- 2θ 18.69, 4.748 Å, I = 100
- 2θ 22.74, 3.910 Å, I = 36
- 2θ 26.02, 3.424 Å, I = 52
- 2θ 26.36, 3.381 Å, I = 24
- 2θ 27.39, 3.256 Å, I = 63
- 2θ 29.88, 2.990 Å, I = 23
- 2θ 31.27, 2.860 Å, I = 19
- 2θ 36.11, 2.488 Å, I = 82
- 2θ 40.13, 2.247 Å, I = 19
- 2θ 42.83, 2.111 Å, I = 19

---

Structure and theoretical PXRD pattern of SbI2Cl (a PBE-relaxed structure; λ = 1.5418 Å (Cu Kα)).
Lines closer than 0.1° are merged.

Structure:
```
SbI2Cl
1.0
4.321 0.000 0.000
-0.002 5.770 0.000
-2.137 -0.183 8.210
Sb I Cl
1 2 1
direct
0.000 0.000 0.000
0.369 0.009 0.736
0.630 0.026 0.264
0.000 0.583 0.000
```

Top 10 peaks for 2θ = 15–90°, in order of rising 2θ:
- 2θ 15.36, 5.768 Å, I = 100
- 2θ 26.28, 3.392 Å, I = 67
- 2θ 30.39, 2.941 Å, I = 26
- 2θ 30.77, 2.906 Å, I = 28
- 2θ 31.01, 2.884 Å, I = 25
- 2θ 34.30, 2.615 Å, I = 21
- 2θ 40.79, 2.212 Å, I = 16
- 2θ 41.37, 2.182 Å, I = 18
- 2θ 44.80, 2.023 Å, I = 13
- 2θ 47.31, 1.922 Å, I = 14

---

Structure and theoretical PXRD pattern of Sc3ICl7 (a PBE-relaxed structure; λ = 1.5418 Å (Cu Kα)).
Lines closer than 0.1° are merged.

Structure:
```
Sc3ICl7
1.0
7.548 0.000 0.000
-3.774 6.537 0.000
0.000 0.000 6.927
Sc I Cl
3 1 7
direct
0.168 0.337 0.000
0.168 0.832 0.000
0.663 0.832 0.000
0.000 0.000 0.283
0.019 0.510 0.197
0.312 0.156 0.805
0.333 0.667 0.782
0.490 0.510 0.197
0.490 0.981 0.197
0.844 0.156 0.805
0.844 0.688 0.805
```

Top 10 peaks for 2θ = 15–90°, in order of rising 2θ:
- 2θ 18.66, 4.754 Å, I = 24
- 2θ 26.90, 3.314 Å, I = 18
- 2θ 29.18, 3.060 Å, I = 12
- 2θ 30.24, 2.956 Å, I = 100
- 2θ 35.17, 2.552 Å, I = 14
- 2θ 37.85, 2.377 Å, I = 46
- 2θ 38.69, 2.327 Å, I = 11
- 2θ 48.24, 1.887 Å, I = 47
- 2θ 54.39, 1.687 Å, I = 10
- 2θ 57.98, 1.591 Å, I = 13

---

Repeat the second record exactly.
Structure and theoretical PXRD pattern of ReICl (a PBE-relaxed structure; λ = 1.5418 Å (Cu Kα)).
Lines closer than 0.1° are merged.

Structure:
```
ReICl
1.0
3.546 0.000 0.000
0.332 7.609 0.000
1.689 0.997 7.836
Re I Cl
2 2 2
direct
0.201 0.498 0.102
0.799 0.502 0.898
0.373 0.732 0.695
0.627 0.268 0.305
0.139 0.774 0.177
0.861 0.226 0.823
```

Top 10 peaks for 2θ = 15–90°, in order of rising 2θ:
- 2θ 15.24, 5.815 Å, I = 100
- 2θ 24.86, 3.582 Å, I = 29
- 2θ 26.93, 3.311 Å, I = 12
- 2θ 30.74, 2.909 Å, I = 22
- 2θ 32.93, 2.720 Å, I = 21
- 2θ 34.19, 2.622 Å, I = 20
- 2θ 38.03, 2.366 Å, I = 25
- 2θ 38.67, 2.329 Å, I = 21
- 2θ 38.99, 2.310 Å, I = 20
- 2θ 48.23, 1.887 Å, I = 18